For MgH12SeO9, DFT lattice parameters and positions (GGA-PBE) gives the calculated powder X-ray diffraction pattern in this record (Cu Ka).
Intensities are scaled so that the largest is 100.

Main lines, in order of falling intensity (2θ = 10–80°):
(hkl), d/Å, 2θ/deg, intensity
0 1 1, 6.958, 12.72, 100
0 1 0, 7.451, 11.88, 56
1 0 1, 3.418, 26.07, 30
0 0 4, 2.415, 37.23, 22
-1 2 1, 2.383, 37.74, 21
0 2 0, 3.726, 23.88, 18
0 0 2, 4.830, 18.37, 14
1 1 1, 3.443, 25.88, 13

Structural model:
a b c (Å): 3.5931 7.9259 10.2224
angles (deg): 71.87 80.95 79.27
Element x y z (fractional)
Mg (0.0000, 0.0000, 0.0000)
H (0.0931, 0.1955, 0.7417)
H (0.1563, 0.5164, 0.8192)
H (0.2100, 0.5129, 0.1563)
H (0.3836, 0.1795, 0.0569)
H (0.3977, 0.6430, 0.4665)
H (0.4217, 0.0824, 0.4648)
H (0.4315, 0.0161, 0.5354)
H (0.4364, 0.4925, 0.6950)
H (0.4673, 0.6715, 0.9670)
H (0.8650, 0.1039, 0.2488)
H (0.9036, 0.0313, 0.7426)
H (0.9385, 0.2950, 0.2456)
Se (0.7378, 0.6908, 0.2504)
O (0.1085, 0.0644, 0.7777)
O (0.1131, 0.4995, 0.2571)
O (0.1702, 0.4861, 0.7321)
O (0.2382, 0.6097, 0.9793)
O (0.4605, 0.1003, 0.9978)
O (0.6744, 0.6243, 0.4409)
O (0.8416, 0.2301, 0.1936)
O (0.9056, 0.7464, 0.9960)
O (0.9848, 0.8626, 0.2235)